LaTiCrO6: simulated PXRD pattern (copper Kα), based on a crystal structure in Alexandria, relaxed with PBE+U.

Crystal structure
a b c (Å): 4.8732 4.8732 9.6302
angles (deg): 90.00 90.00 90.00
Element x y z (fractional)
La (0.0000, 0.0000, 0.0000)
La (0.5000, 0.5000, 0.5000)
Ti (0.0000, 0.0000, 0.3541)
Ti (0.5000, 0.5000, 0.8541)
Cr (0.0000, 0.0000, 0.6694)
Cr (0.5000, 0.5000, 0.1694)
O (0.1697, 0.1697, 0.5156)
O (0.2313, 0.2313, 0.8161)
O (0.2465, 0.2465, 0.2061)
O (0.2535, 0.7465, 0.7061)
O (0.2687, 0.7313, 0.3161)
O (0.3303, 0.6697, 0.0156)
O (0.6697, 0.3303, 0.0156)
O (0.7313, 0.2687, 0.3161)
O (0.7465, 0.2535, 0.7061)
O (0.7535, 0.7535, 0.2061)
O (0.7687, 0.7687, 0.8161)
O (0.8303, 0.8303, 0.5156)

Main lines, by angle (10° ≤ 2θ ≤ 80°):
Position (°2θ), I/Imax
20.42, 24
25.86, 100
31.94, 20
33.43, 77
36.89, 15
41.54, 15
42.53, 14
50.63, 59
53.16, 19
60.03, 14
63.99, 13
64.27, 17